CaP2IrRu: theoretical powder XRD pattern (a wavelength of 1.5418 Å), based on a crystal structure in Alexandria, relaxed with GGA-PBE.

Principal peaks in the range 2θ = 5–70°, by angle:
two_theta	I_rel
18.0	79
23.7	18
31.2	23
36.3	100
36.4	17
44.7	38
48.6	25
48.7	37
59.0	16
65.4	17

Structural model:
a b c (Å): 5.7052 5.7052 5.7052
angles (deg): 138.41 138.41 60.27
Sites, in units of the cell vectors:
Ca1 0.0000 0.0000 0.0000
P1 0.3753 0.3753 0.0000
P2 0.6247 0.6247 0.0000
Ir1 0.7500 0.2500 0.5000
Ru1 0.2500 0.7500 0.5000